No. 1
Structure and simulated X-ray powder pattern of Pr2BeAlPt6 (a crystal structure in Alexandria, relaxed with GGA-PBE; Cu Kα X-rays).

Main lines, by intensity (2θ = 5–70°):
36.83°, intensity 100.0; 40.34°, intensity 69.0; 27.72°, intensity 37.3; 29.12°, intensity 24.0; 63.92°, intensity 23.3; 37.15°, intensity 13.9; 33.78°, intensity 13.2; 58.88°, intensity 12.7; 52.47°, intensity 11.8; 53.01°, intensity 11.8

abc: 7.2616 7.2616 7.2616
angles: 47.29 47.29 47.29
Atoms (fractional coordinates):
Pr 0.2157 0.2157 0.2157
Pr 0.7843 0.7843 0.7843
Be 0.0000 0.0000 0.0000
Al 0.5000 0.5000 0.5000
Pt 0.2410 0.2410 0.7185
Pt 0.2410 0.7185 0.2410
Pt 0.2815 0.7590 0.7590
Pt 0.7185 0.2410 0.2410
Pt 0.7590 0.2815 0.7590
Pt 0.7590 0.7590 0.2815

---

No. 2
Structure and simulated X-ray powder pattern of Ba3MgGa3 (a crystal structure in Alexandria, relaxed with GGA-PBE; Cu Kα X-rays).

Main lines, by intensity (2θ = 5–70°):
26.25°, intensity 100.0; 28.54°, intensity 88.3; 33.20°, intensity 72.1; 36.37°, intensity 59.9; 33.60°, intensity 50.5; 27.55°, intensity 47.0; 30.64°, intensity 45.9; 35.67°, intensity 38.1; 22.64°, intensity 37.7; 28.38°, intensity 35.9

abc: 6.7574 6.7574 15.1021
angles: 90.00 90.00 137.12
Atoms (fractional coordinates):
Ba 0.0250 0.9750 0.7500
Ba 0.2640 0.7360 0.1060
Ba 0.2640 0.7360 0.3940
Ba 0.7360 0.2640 0.6060
Ba 0.7360 0.2640 0.8940
Ba 0.9750 0.0250 0.2500
Mg 0.0000 0.0000 0.0000
Mg 0.0000 0.0000 0.5000
Ga 0.3295 0.6705 0.7500
Ga 0.4394 0.5606 0.5879
Ga 0.4394 0.5606 0.9121
Ga 0.5606 0.4394 0.0879
Ga 0.5606 0.4394 0.4121
Ga 0.6705 0.3295 0.2500

---

No. 3
Structure and simulated X-ray powder pattern of Tb6Ho2Cd (a crystal structure in Alexandria, relaxed with GGA-PBE; Cu Kα X-rays).

Main lines, by intensity (2θ = 5–70°):
33.18°, intensity 100.0; 33.26°, intensity 97.3; 32.19°, intensity 47.8; 58.05°, intensity 39.5; 29.00°, intensity 32.7; 43.84°, intensity 30.4; 61.82°, intensity 28.6; 51.25°, intensity 25.4; 62.60°, intensity 21.4; 28.88°, intensity 14.5

abc: 6.1824 9.0198 10.9244
angles: 70.98 73.58 90.00
Atoms (fractional coordinates):
Tb 0.0032 0.0856 0.3243
Tb 0.1199 0.8647 0.1073
Tb 0.2280 0.6349 0.8929
Tb 0.2392 0.4733 0.2183
Tb 0.3280 0.4146 0.6754
Tb 0.4578 0.0265 0.7819
Tb 0.5422 0.9735 0.2181
Tb 0.6720 0.5854 0.3246
Tb 0.7608 0.5267 0.7817
Tb 0.7720 0.3651 0.1071
Tb 0.8801 0.1353 0.8927
Tb 0.9968 0.9144 0.6757
Ho 0.1099 0.6947 0.4465
Ho 0.4434 0.1946 0.4466
Ho 0.5566 0.8054 0.5534
Ho 0.8901 0.3053 0.5535
Cd 0.3316 0.2499 0.9997
Cd 0.6684 0.7501 0.0003

---

No. 4
Structure and simulated X-ray powder pattern of KBaP2O (a crystal structure in Alexandria, relaxed with GGA-PBE; Cu Kα X-rays).

Main lines, by intensity (2θ = 5–70°):
23.43°, intensity 100.0; 27.93°, intensity 86.0; 13.86°, intensity 79.5; 36.77°, intensity 61.5; 19.65°, intensity 49.8; 47.93°, intensity 35.4; 18.80°, intensity 32.7; 39.92°, intensity 31.0; 33.89°, intensity 29.3; 31.31°, intensity 22.9

abc: 6.3881 6.3881 4.7201
angles: 90.00 90.00 90.00
Atoms (fractional coordinates):
K 0.0000 0.0000 0.0000
Ba 0.5000 0.5000 0.5000
P 0.0000 0.5000 0.5000
P 0.5000 0.0000 0.5000
O 0.5000 0.5000 0.0000

---

No. 5
Structure and simulated X-ray powder pattern of Na3Zn5Au6 (a crystal structure in Alexandria, relaxed with GGA-PBE; Cu Kα X-rays).

Main lines, by intensity (2θ = 5–70°):
19.07°, intensity 100.0; 34.64°, intensity 95.3; 40.27°, intensity 91.4; 37.88°, intensity 91.0; 45.16°, intensity 82.8; 22.61°, intensity 63.6; 30.24°, intensity 60.6; 44.41°, intensity 56.1; 41.63°, intensity 52.7; 40.06°, intensity 48.0

abc: 4.4795 13.0175 9.3092
angles: 90.00 90.00 90.00
Atoms (fractional coordinates):
Na 0.2500 0.0441 0.2474
Na 0.2500 0.4559 0.2474
Na 0.2500 0.7500 0.2488
Na 0.7500 0.2500 0.7512
Na 0.7500 0.5441 0.7526
Na 0.7500 0.9559 0.7526
Zn 0.2500 0.0858 0.8847
Zn 0.2500 0.4142 0.8847
Zn 0.2500 0.6203 0.5384
Zn 0.2500 0.7500 0.7635
Zn 0.2500 0.8797 0.5384
Zn 0.7500 0.1203 0.4616
Zn 0.7500 0.2500 0.2365
Zn 0.7500 0.3797 0.4616
Zn 0.7500 0.5858 0.1153
Zn 0.7500 0.9142 0.1153
Au 0.2500 0.0828 0.6083
Au 0.2500 0.2500 0.0633
Au 0.2500 0.2500 0.4054
Au 0.2500 0.4172 0.6083
Au 0.2500 0.6088 0.9736
Au 0.2500 0.8912 0.9736
Au 0.7500 0.1088 0.0264
Au 0.7500 0.3912 0.0264
Au 0.7500 0.5828 0.3917
Au 0.7500 0.7500 0.5946
Au 0.7500 0.7500 0.9367
Au 0.7500 0.9172 0.3917

---

No. 6
Structure and simulated X-ray powder pattern of V12Si3Ru (a crystal structure in Alexandria, relaxed with GGA-PBE; Cu Kα X-rays).

Main lines, by intensity (2θ = 5–70°):
42.84°, intensity 100.0; 47.16°, intensity 68.3; 38.13°, intensity 32.7; 9.37°, intensity 10.7; 21.04°, intensity 7.5; 18.80°, intensity 6.9; 68.90°, intensity 6.7; 28.36°, intensity 4.3; 39.34°, intensity 2.7; 32.86°, intensity 2.7

abc: 4.7210 4.7241 9.4341
angles: 90.00 90.00 90.00
Atoms (fractional coordinates):
V 0.0000 0.0000 0.1220
V 0.0000 0.0000 0.3712
V 0.0000 0.0000 0.6288
V 0.0000 0.0000 0.8780
V 0.2506 0.5000 0.2513
V 0.2506 0.5000 0.7487
V 0.5000 0.2470 0.5000
V 0.5000 0.2498 0.0000
V 0.5000 0.7502 0.0000
V 0.5000 0.7530 0.5000
V 0.7494 0.5000 0.2513
V 0.7494 0.5000 0.7487
Si 0.0000 0.5000 0.5000
Si 0.5000 0.0000 0.2523
Si 0.5000 0.0000 0.7477
Ru 0.0000 0.5000 0.0000

---

No. 7
Structure and simulated X-ray powder pattern of Pm4Pr2Sn3N2 (a crystal structure in Alexandria, relaxed with GGA-PBE; Cu Kα X-rays).

Main lines, by intensity (2θ = 5–70°):
33.30°, intensity 100.0; 36.99°, intensity 52.2; 26.83°, intensity 41.5; 64.32°, intensity 30.7; 53.31°, intensity 18.2; 29.41°, intensity 15.4; 27.50°, intensity 14.5; 46.70°, intensity 13.8; 51.52°, intensity 12.6; 57.00°, intensity 12.1

abc: 13.4232 13.4232 13.4232
angles: 159.14 159.14 29.67
Atoms (fractional coordinates):
Pm 0.0833 0.5833 0.5000
Pm 0.4167 0.9167 0.5000
Pm 0.5833 0.0833 0.5000
Pm 0.9167 0.4167 0.5000
Pr 0.1929 0.1929 0.0000
Pr 0.8071 0.8071 0.0000
Sn 0.3243 0.3243 0.0000
Sn 0.5000 0.5000 0.0000
Sn 0.6757 0.6757 0.0000
N 0.1018 0.1018 0.0000
N 0.8982 0.8982 0.0000

---

No. 8
Structure and simulated X-ray powder pattern of AcAl2Zn9 (a crystal structure in Alexandria, relaxed with GGA-PBE; Cu Kα X-rays).

Main lines, by intensity (2θ = 5–70°):
36.42°, intensity 100.0; 37.38°, intensity 65.3; 32.50°, intensity 29.2; 66.80°, intensity 29.0; 38.61°, intensity 25.0; 27.52°, intensity 20.2; 14.85°, intensity 19.2; 23.39°, intensity 17.9; 36.65°, intensity 17.0; 43.93°, intensity 16.2

abc: 8.4092 8.4092 8.4092
angles: 100.46 100.46 129.57
Atoms (fractional coordinates):
Ac 0.3750 0.6250 0.7500
Ac 0.6250 0.3750 0.2500
Al 0.0000 0.0000 0.0000
Al 0.0000 0.0000 0.5000
Al 0.0000 0.5000 0.0000
Al 0.5000 0.0000 0.5000
Zn 0.1250 0.8750 0.2500
Zn 0.1323 0.5540 0.3335
Zn 0.1323 0.7988 0.5783
Zn 0.2012 0.2795 0.3335
Zn 0.2012 0.8677 0.9217
Zn 0.2795 0.2012 0.8335
Zn 0.2795 0.4460 0.0783
Zn 0.4460 0.2795 0.5783
Zn 0.4460 0.8677 0.1665
Zn 0.5540 0.1323 0.8335
Zn 0.5540 0.7205 0.4217
Zn 0.7205 0.5540 0.9217
Zn 0.7205 0.7988 0.1665
Zn 0.7988 0.1323 0.0783
Zn 0.7988 0.7205 0.6665
Zn 0.8677 0.2012 0.4217
Zn 0.8677 0.4460 0.6665
Zn 0.8750 0.1250 0.7500

---

No. 9
Structure and simulated X-ray powder pattern of Sr2HgMo (a crystal structure in Alexandria, relaxed with GGA-PBE; Cu Kα X-rays).

Main lines, by intensity (2θ = 5–70°):
32.28°, intensity 100.0; 31.87°, intensity 68.9; 32.38°, intensity 33.1; 56.99°, intensity 26.1; 57.14°, intensity 25.9; 57.88°, intensity 24.9; 15.78°, intensity 15.3; 45.57°, intensity 12.7; 45.81°, intensity 12.5; 67.55°, intensity 11.8

abc: 7.9225 7.9619 3.8695
angles: 90.00 90.13 90.00
Atoms (fractional coordinates):
Sr 0.2500 0.2500 0.0000
Sr 0.2500 0.7500 0.0000
Sr 0.7500 0.2500 0.0000
Sr 0.7500 0.7500 0.0000
Hg 0.0000 0.0000 0.5000
Hg 0.5000 0.5000 0.5000
Mo 0.0000 0.5000 0.5000
Mo 0.5000 0.0000 0.5000

---

No. 10
Structure and simulated X-ray powder pattern of P5Ru3 (a crystal structure in Alexandria, relaxed with GGA-PBE; Cu Kα X-rays).

Main lines, by intensity (2θ = 5–70°):
49.94°, intensity 100.0; 26.57°, intensity 97.9; 20.93°, intensity 69.2; 40.24°, intensity 63.7; 40.40°, intensity 62.2; 29.01°, intensity 61.2; 24.84°, intensity 45.9; 32.70°, intensity 37.5; 54.66°, intensity 34.4; 54.79°, intensity 32.9

abc: 8.4893 7.0029 6.9803
angles: 74.76 52.74 52.50
Atoms (fractional coordinates):
P 0.0932 0.3194 0.6806
P 0.1792 0.5933 0.4067
P 0.2501 0.7499 0.7499
P 0.3194 0.0932 0.9068
P 0.4067 0.8208 0.1792
P 0.5933 0.1792 0.8208
P 0.6806 0.9068 0.0932
P 0.7499 0.2501 0.2501
P 0.8208 0.4067 0.5933
P 0.9068 0.6806 0.3194
Ru 0.1178 0.8822 0.1178
Ru 0.2500 0.2500 0.2500
Ru 0.3834 0.3834 0.6166
Ru 0.6166 0.6166 0.3834
Ru 0.7500 0.7500 0.7500
Ru 0.8822 0.1178 0.8822

---

No. 11
Structure and simulated X-ray powder pattern of Rb3AcI6 (a crystal structure in Alexandria, relaxed with GGA-PBE; Cu Kα X-rays).

Main lines, by intensity (2θ = 5–70°):
22.07°, intensity 100.0; 22.87°, intensity 93.6; 30.46°, intensity 83.9; 27.38°, intensity 72.7; 23.68°, intensity 72.1; 11.58°, intensity 69.8; 34.13°, intensity 69.1; 28.11°, intensity 64.5; 13.59°, intensity 62.1; 38.99°, intensity 56.9

abc: 8.8996 9.5699 15.1909
angles: 90.00 123.31 90.00
Atoms (fractional coordinates):
Rb 0.0000 0.0000 0.0000
Rb 0.0000 0.5000 0.5000
Rb 0.2037 0.0837 0.7382
Rb 0.2037 0.4163 0.2382
Rb 0.7963 0.5837 0.7618
Rb 0.7963 0.9163 0.2618
Ac 0.5000 0.0000 0.5000
Ac 0.5000 0.5000 0.0000
I 0.1437 0.1802 0.4394
I 0.1437 0.3198 0.9394
I 0.2493 0.7169 0.4167
I 0.2493 0.7831 0.9167
I 0.4101 0.0650 0.2641
I 0.4101 0.4350 0.7641
I 0.5899 0.5650 0.2359
I 0.5899 0.9350 0.7359
I 0.7507 0.2169 0.0833
I 0.7507 0.2831 0.5833
I 0.8563 0.6802 0.0606
I 0.8563 0.8198 0.5606

---

No. 12
Structure and simulated X-ray powder pattern of Ti3Zn2 (a crystal structure in Alexandria, relaxed with GGA-PBE; Cu Kα X-rays).

Main lines, by intensity (2θ = 5–70°):
39.12°, intensity 100.0; 43.66°, intensity 36.0; 67.66°, intensity 17.3; 48.96°, intensity 12.4; 63.46°, intensity 11.4; 30.87°, intensity 3.6; 9.51°, intensity 2.8; 19.08°, intensity 2.2; 28.79°, intensity 1.2; 48.05°, intensity 1.0

abc: 2.9320 2.9320 18.6043
angles: 90.00 90.00 90.00
Atoms (fractional coordinates):
Ti 0.0000 0.0000 0.0000
Ti 0.0000 0.0000 0.1986
Ti 0.0000 0.0000 0.8014
Ti 0.5000 0.5000 0.3014
Ti 0.5000 0.5000 0.5000
Ti 0.5000 0.5000 0.6986
Zn 0.0000 0.0000 0.4024
Zn 0.0000 0.0000 0.5976
Zn 0.5000 0.5000 0.0976
Zn 0.5000 0.5000 0.9024